Starting from the PBE geometry in Alexandria, the PXRD pattern of K2RbHgBi2 was calculated for Cu Ka.
Kinematic intensities with the Lorentz-polarization factor, no thermal factor.

Atomic structure:
```
data_K2RbHgBi2
_cell_length_a 9.725
_cell_length_b 14.427
_cell_length_c 7.849
_cell_angle_alpha 90.00
_cell_angle_beta 90.00
_cell_angle_gamma 90.00
_symmetry_space_group_name_H-M 'I b a m'
_symmetry_Int_Tables_number 72
_symmetry_space_group_name_Hall '-I 2 2c'
loop_
_atom_site_label
_atom_site_type_symbol
_atom_site_fract_x
_atom_site_fract_y
_atom_site_fract_z
_atom_site_occupancy
K1 K 0.161 0.174 0.000 1
Rb1 Rb 0.000 0.500 0.250 1
Hg1 Hg 0.000 0.000 0.250 1
Bi1 Bi 0.193 0.094 0.500 1
```

Most intense lines, 2θ from 15° to 90°, by angle:
hkl, 2θ (°), Rel. int.
1 2 1, 19.04, 100
1 4 1, 28.75, 49
2 0 2, 29.24, 83
2 4 0, 30.86, 60
2 2 2, 31.82, 49
0 4 2, 33.75, 52